[1]
For LiPu3In4, a DFT-relaxed cell (PBE, Alexandria) gives the theoretical XRD peak list in this record (Cu Kα (weighted mean of Kα1 and Kα2)).

```
data_LiPu3In4
_chemical_formula_sum 'Li1 Pu3 In4'
_cell_length_a 3.2401
_cell_length_b 3.2401
_cell_length_c 18.2091
_cell_angle_alpha 90.00
_cell_angle_beta 90.00
_cell_angle_gamma 90.00
_space_group_name_H-M_alt 'P 4/m m m'
_space_group_IT_number 123
_space_group_name_Hall '-P 4 2'
loop_
_atom_site_label
_atom_site_type_symbol
_atom_site_fract_x
_atom_site_fract_y
_atom_site_fract_z
Li1 Li 0.0000 0.0000 0.0000
Pu1 Pu 0.0000 0.0000 0.2303
Pu2 Pu 0.0000 0.0000 0.5000
In1 In 0.5000 0.5000 0.0968
In2 In 0.5000 0.5000 0.3648
```

The 10 most intense peaks (10 to 90 degrees two-theta), sorted by position:
2θ/deg, I_rel, hkl
31.29, 32, 1 0 3
33.96, 100, 1 0 4
34.48, 18, 0 0 7
39.33, 42, 1 1 0
53.28, 21, 1 1 7
56.83, 14, 2 0 0
57.04, 12, 1 1 8
63.06, 19, 1 0 11
67.88, 27, 2 1 4
89.99, 16, 2 1 11

---

[2]
For LiInRe, a DFT-relaxed cell (PBE, Alexandria) gives the theoretical XRD peak list in this record (Cu Kα (weighted mean of Kα1 and Kα2)).

```
data_LiInRe
_chemical_formula_sum 'Li2 In2 Re2'
_cell_length_a 2.7032
_cell_length_b 4.3758
_cell_length_c 8.4082
_cell_angle_alpha 90.00
_cell_angle_beta 90.00
_cell_angle_gamma 90.00
_space_group_name_H-M_alt 'I m m 2'
_space_group_IT_number 44
loop_
_space_group_symop_operation_xyz
'x,y,z'
'-x,-y,z'
'-x,y,z'
'x,-y,z'
'x+1/2,y+1/2,z+1/2'
'-x+1/2,-y+1/2,z+1/2'
'-x+1/2,y+1/2,z+1/2'
'x+1/2,-y+1/2,z+1/2'
loop_
_atom_site_label
_atom_site_type_symbol
_atom_site_fract_x
_atom_site_fract_y
_atom_site_fract_z
Li1 Li 0.0000 0.0000 0.0000
In1 In 0.0000 0.0000 0.3314
Re1 Re 0.0000 0.0000 0.6663
```

The 10 most intense peaks (10 to 90 degrees two-theta), sorted by position:
2θ/deg, I_rel, hkl
21.13, 60, 0 0 2
22.91, 95, 0 1 1
34.86, 33, 1 0 1
38.13, 100, 0 1 3
39.17, 93, 1 1 0
41.26, 40, 0 2 0
44.93, 34, 1 1 2
46.68, 56, 1 0 3
64.04, 43, 1 2 3
80.23, 30, 1 1 6

---

[3]
For LiIn3Rh, a DFT-relaxed cell (PBE, Alexandria) gives the theoretical XRD peak list in this record (Cu Kα (weighted mean of Kα1 and Kα2)).

```
data_LiIn3Rh
_chemical_formula_sum 'Li2 In6 Rh2'
_cell_length_a 4.6011
_cell_length_b 4.5904
_cell_length_c 9.3650
_cell_angle_alpha 90.00
_cell_angle_beta 104.14
_cell_angle_gamma 90.00
_space_group_name_H-M_alt 'P 1 21/m 1'
_space_group_IT_number 11
loop_
_space_group_symop_operation_xyz
'x,y,z'
'-x,-y,-z'
'-x,y+1/2,-z'
'x,-y+1/2,z'
loop_
_atom_site_label
_atom_site_type_symbol
_atom_site_fract_x
_atom_site_fract_y
_atom_site_fract_z
Li1 Li 0.1645 0.2500 0.3266
In1 In 0.0632 0.7500 0.1258
In2 In 0.2478 0.7500 0.4966
In3 In 0.4293 0.7500 0.8615
Rh1 Rh 0.3416 0.2500 0.6814
```

The 10 most intense peaks (10 to 90 degrees two-theta), sorted by position:
2θ/deg, I_rel, hkl
21.69, 9, 0 1 1
24.30, 10, 1 0 1
27.89, 16, 1 1 0
29.51, 10, 0 0 3
37.12, 100, 1 1 -3
39.20, 50, 0 2 0
56.65, 17, 2 2 -1
65.54, 8, 2 0 -6
69.62, 15, 3 1 -4
69.75, 15, 1 3 -3

---

[4]
For Li2In8Rh3, a DFT-relaxed cell (PBE, Alexandria) gives the theoretical XRD peak list in this record (Cu Kα (weighted mean of Kα1 and Kα2)).

```
data_Li2In8Rh3
_chemical_formula_sum 'Li2 In8 Rh3'
_cell_length_a 7.7163
_cell_length_b 4.6496
_cell_length_c 7.7397
_cell_angle_alpha 90.00
_cell_angle_beta 106.74
_cell_angle_gamma 90.00
_space_group_name_H-M_alt 'P 1 2/m 1'
_space_group_IT_number 10
loop_
_space_group_symop_operation_xyz
'x,y,z'
'-x,-y,-z'
'-x,y,-z'
'x,-y,z'
loop_
_atom_site_label
_atom_site_type_symbol
_atom_site_fract_x
_atom_site_fract_y
_atom_site_fract_z
Li1 Li 0.2376 0.0000 0.2608
In1 In 0.1290 0.5000 0.3723
In2 In 0.1398 0.0000 0.8861
In3 In 0.3772 0.5000 0.1229
In4 In 0.3860 0.0000 0.6372
Rh1 Rh 0.0000 0.0000 0.5000
Rh2 Rh 0.2434 0.5000 0.7436
```

The 10 most intense peaks (10 to 90 degrees two-theta), sorted by position:
2θ/deg, I_rel, hkl
14.28, 20, 1 0 -1
27.24, 33, 1 1 1
28.79, 14, 2 0 -2
30.88, 12, 0 1 2
38.73, 28, 0 2 0
39.07, 26, 2 0 2
40.05, 100, 1 1 -3
56.19, 18, 2 2 2
70.99, 18, 1 3 -3
73.44, 12, 4 2 -4

---

[5]
For Li3In2Rh3, a DFT-relaxed cell (PBE, Alexandria) gives the theoretical XRD peak list in this record (Cu Kα (weighted mean of Kα1 and Kα2)).

```
data_Li3In2Rh3
_chemical_formula_sum 'Li9 In6 Rh9'
_cell_length_a 4.4345
_cell_length_b 4.4345
_cell_length_c 21.6308
_cell_angle_alpha 90.00
_cell_angle_beta 90.00
_cell_angle_gamma 120.00
_space_group_name_H-M_alt 'R 3 m'
_space_group_IT_number 160
_space_group_name_Hall 'R 3 -2"'
loop_
_atom_site_label
_atom_site_type_symbol
_atom_site_fract_x
_atom_site_fract_y
_atom_site_fract_z
Li1 Li 0.0000 0.0000 0.0000
Li2 Li 0.0000 0.0000 0.1270
Li3 Li 0.0000 0.0000 0.5049
In1 In 0.0000 0.0000 0.2527
In2 In 0.0000 0.0000 0.7515
Rh1 Rh 0.0000 0.0000 0.3786
Rh2 Rh 0.0000 0.0000 0.6276
Rh3 Rh 0.0000 0.0000 0.8761
```

The 10 most intense peaks (10 to 90 degrees two-theta), sorted by position:
2θ/deg, I_rel, hkl
12.28, 19, 0 0 3
23.53, 14, 1 0 1
24.62, 95, 0 0 6
40.69, 100, 1 1 0
40.82, 99, 0 1 8
48.16, 34, 1 1 6
48.29, 11, 1 0 10
59.00, 33, 2 0 8
74.11, 49, 3 0 0
74.39, 16, 1 0 16

---

[6]
For Li3In3Rh2, a DFT-relaxed cell (PBE, Alexandria) gives the theoretical XRD peak list in this record (Cu Kα (weighted mean of Kα1 and Kα2)).

```
data_Li3In3Rh2
_chemical_formula_sum 'Li9 In9 Rh6'
_cell_length_a 4.5510
_cell_length_b 4.5510
_cell_length_c 22.2881
_cell_angle_alpha 90.00
_cell_angle_beta 90.00
_cell_angle_gamma 120.00
_space_group_name_H-M_alt 'R 3 m'
_space_group_IT_number 160
_space_group_name_Hall 'R 3 -2"'
loop_
_atom_site_label
_atom_site_type_symbol
_atom_site_fract_x
_atom_site_fract_y
_atom_site_fract_z
Li1 Li 0.0000 0.0000 0.0000
Li2 Li 0.0000 0.0000 0.1252
Li3 Li 0.0000 0.0000 0.4976
In1 In 0.0000 0.0000 0.3783
In2 In 0.0000 0.0000 0.6216
In3 In 0.0000 0.0000 0.8685
Rh1 Rh 0.0000 0.0000 0.2511
Rh2 Rh 0.0000 0.0000 0.7454
```

The 10 most intense peaks (10 to 90 degrees two-theta), sorted by position:
2θ/deg, I_rel, hkl
11.91, 9, 0 0 3
22.91, 9, 1 0 1
23.95, 41, 0 0 6
27.72, 7, 1 0 4
39.61, 100, 1 1 0
46.82, 19, 1 1 6
57.26, 16, 2 0 8
62.96, 8, 0 1 14
71.87, 32, 3 0 0
85.32, 10, 2 2 0

---

[7]
For Li6In2Rh, a DFT-relaxed cell (PBE, Alexandria) gives the theoretical XRD peak list in this record (Cu Kα (weighted mean of Kα1 and Kα2)).

```
data_Li6In2Rh
_chemical_formula_sum 'Li12 In4 Rh2'
_cell_length_a 12.3602
_cell_length_b 5.2997
_cell_length_c 4.7987
_cell_angle_alpha 90.00
_cell_angle_beta 104.37
_cell_angle_gamma 90.00
_space_group_name_H-M_alt 'C 1 2/m 1'
_space_group_IT_number 12
loop_
_space_group_symop_operation_xyz
'x,y,z'
'-x,-y,-z'
'-x,y,-z'
'x,-y,z'
'x+1/2,y+1/2,z'
'-x+1/2,-y+1/2,-z'
'-x+1/2,y+1/2,-z'
'x+1/2,-y+1/2,z'
loop_
_atom_site_label
_atom_site_type_symbol
_atom_site_fract_x
_atom_site_fract_y
_atom_site_fract_z
Li1 Li 0.1001 0.2300 0.1578
Li2 Li 0.2078 0.0000 0.7321
In1 In 0.1167 0.5000 0.6731
Rh1 Rh 0.0000 0.0000 0.5000
```

The 10 most intense peaks (10 to 90 degrees two-theta), sorted by position:
2θ/deg, I_rel, hkl
14.80, 40, 2 0 0
19.09, 56, 0 0 1
21.09, 100, 2 0 -1
27.96, 84, 3 1 0
33.83, 35, 0 2 0
37.23, 59, 3 1 1
40.20, 47, 2 2 -1
41.37, 38, 5 1 0
41.55, 34, 5 1 -1
44.91, 30, 1 1 2

---

[8]
For Sr2LiInRh2, a DFT-relaxed cell (PBE, Alexandria) gives the theoretical XRD peak list in this record (Cu Kα (weighted mean of Kα1 and Kα2)).

```
data_Sr2LiInRh2
_chemical_formula_sum 'Sr8 Li4 In4 Rh8'
_cell_length_a 5.9924
_cell_length_b 15.3571
_cell_length_c 6.2355
_cell_angle_alpha 90.00
_cell_angle_beta 90.00
_cell_angle_gamma 90.00
_space_group_name_H-M_alt 'I b a m'
_space_group_IT_number 72
_space_group_name_Hall '-I 2 2c'
loop_
_atom_site_label
_atom_site_type_symbol
_atom_site_fract_x
_atom_site_fract_y
_atom_site_fract_z
Sr1 Sr 0.2504 0.1709 0.0000
Li1 Li 0.0000 0.0000 0.2500
In1 In 0.0000 0.5000 0.2500
Rh1 Rh 0.2499 0.1100 0.5000
```

The 10 most intense peaks (10 to 90 degrees two-theta), sorted by position:
2θ/deg, I_rel, hkl
15.88, 55, 1 1 0
28.63, 39, 0 0 2
29.82, 35, 2 0 0
31.16, 100, 1 4 1
37.15, 82, 0 4 2
38.10, 76, 2 4 0
40.98, 35, 1 6 1
41.81, 100, 2 0 2
52.14, 30, 1 8 1
59.29, 29, 0 0 4

---

[9]
For LiInSbRu, a DFT-relaxed cell (PBE, Alexandria) gives the theoretical XRD peak list in this record (Cu Kα (weighted mean of Kα1 and Kα2)).

```
data_LiInSbRu
_chemical_formula_sum 'Li4 In4 Sb4 Ru4'
_cell_length_a 6.5579
_cell_length_b 6.5579
_cell_length_c 6.5579
_cell_angle_alpha 90.00
_cell_angle_beta 90.00
_cell_angle_gamma 90.00
_space_group_name_H-M_alt 'F -4 3 m'
_space_group_IT_number 216
_space_group_name_Hall 'F -4 2 3'
loop_
_atom_site_label
_atom_site_type_symbol
_atom_site_fract_x
_atom_site_fract_y
_atom_site_fract_z
Li1 Li 0.0000 0.0000 0.0000
In1 In 0.2500 0.2500 0.7500
Sb1 Sb 0.2500 0.2500 0.2500
Ru1 Ru 0.0000 0.0000 0.5000
```

The 10 most intense peaks (10 to 90 degrees two-theta), sorted by position:
2θ/deg, I_rel, hkl
23.50, 20, 1 1 1
27.20, 18, 2 0 0
38.84, 100, 2 2 0
45.90, 10, 3 1 1
48.06, 5, 2 2 2
56.10, 17, 4 0 0
61.65, 4, 3 3 1
63.43, 6, 4 2 0
70.33, 33, 4 2 2
83.36, 11, 4 4 0

---

[10]
For LiIn5S8, a DFT-relaxed cell (PBE, Alexandria) gives the theoretical XRD peak list in this record (Cu Kα (weighted mean of Kα1 and Kα2)).

```
data_LiIn5S8
_chemical_formula_sum 'Li4 In20 S32'
_cell_length_a 10.9061
_cell_length_b 10.9061
_cell_length_c 10.9061
_cell_angle_alpha 90.00
_cell_angle_beta 90.00
_cell_angle_gamma 90.00
_space_group_name_H-M_alt 'F -4 3 m'
_space_group_IT_number 216
_space_group_name_Hall 'F -4 2 3'
loop_
_atom_site_label
_atom_site_type_symbol
_atom_site_fract_x
_atom_site_fract_y
_atom_site_fract_z
Li1 Li 0.0000 0.0000 0.0000
In1 In 0.1317 0.1317 0.6317
In2 In 0.2500 0.2500 0.2500
S1 S 0.1157 0.1157 0.3843
S2 S 0.1302 0.1302 0.8698
```

The 10 most intense peaks (10 to 90 degrees two-theta), sorted by position:
2θ/deg, I_rel, hkl
14.07, 47, 1 1 1
16.25, 17, 2 0 0
27.12, 100, 3 1 1
28.35, 15, 2 2 2
32.85, 54, 4 0 0
35.89, 14, 3 3 1
43.10, 49, 5 1 1
47.14, 72, 4 4 0
65.77, 21, 5 5 3
87.67, 22, 8 4 4

---

[11]
For Li3In3SnS8, a DFT-relaxed cell (PBE, Alexandria) gives the theoretical XRD peak list in this record (Cu Kα (weighted mean of Kα1 and Kα2)).

```
data_Li3In3SnS8
_chemical_formula_sum 'Li9 In9 Sn3 S24'
_cell_length_a 7.5232
_cell_length_b 7.5232
_cell_length_c 18.7196
_cell_angle_alpha 90.00
_cell_angle_beta 90.00
_cell_angle_gamma 120.00
_space_group_name_H-M_alt 'R -3 m'
_space_group_IT_number 166
_space_group_name_Hall '-R 3 2"'
loop_
_atom_site_label
_atom_site_type_symbol
_atom_site_fract_x
_atom_site_fract_y
_atom_site_fract_z
Li1 Li 0.0000 0.5000 0.0000
In1 In 0.0000 0.5000 0.5000
Sn1 Sn 0.0000 0.0000 0.5000
S1 S 0.0000 0.0000 0.2469
S2 S 0.0096 0.5048 0.2465
```

The 10 most intense peaks (10 to 90 degrees two-theta), sorted by position:
2θ/deg, I_rel, hkl
14.19, 100, 0 0 3
27.80, 56, 0 2 1
33.52, 95, 0 2 4
36.56, 25, 2 0 5
43.80, 20, 0 2 7
47.86, 33, 2 0 8
48.40, 32, 2 2 0
50.69, 23, 2 2 3
60.15, 16, 4 0 4
79.89, 14, 2 2 12

---

[12]
For SrLiIn2S4, a DFT-relaxed cell (PBE, Alexandria) gives the theoretical XRD peak list in this record (Cu Kα (weighted mean of Kα1 and Kα2)).

```
data_SrLiIn2S4
_chemical_formula_sum 'Sr2 Li2 In4 S8'
_cell_length_a 6.3051
_cell_length_b 6.3051
_cell_length_c 11.1476
_cell_angle_alpha 90.00
_cell_angle_beta 90.00
_cell_angle_gamma 90.00
_space_group_name_H-M_alt 'I -4 2 m'
_space_group_IT_number 121
_space_group_name_Hall 'I -4 2'
loop_
_atom_site_label
_atom_site_type_symbol
_atom_site_fract_x
_atom_site_fract_y
_atom_site_fract_z
Sr1 Sr 0.0000 0.0000 0.0000
Li1 Li 0.0000 0.0000 0.5000
In1 In 0.0000 0.5000 0.2500
S1 S 0.2230 0.2230 0.6327
```

The 10 most intense peaks (10 to 90 degrees two-theta), sorted by position:
2θ/deg, I_rel, hkl
15.90, 15, 0 0 2
19.91, 14, 1 1 0
25.59, 100, 1 1 2
28.31, 12, 2 0 0
40.47, 23, 2 2 0
43.33, 38, 2 0 4
48.49, 33, 3 1 2
53.43, 12, 1 1 6
69.10, 11, 3 1 6
75.58, 12, 4 2 4

---

[13]
For LiTlIn2S4, a DFT-relaxed cell (PBE, Alexandria) gives the theoretical XRD peak list in this record (Cu Kα (weighted mean of Kα1 and Kα2)).

```
data_LiTlIn2S4
_chemical_formula_sum 'Li2 Tl2 In4 S8'
_cell_length_a 5.7896
_cell_length_b 5.7896
_cell_length_c 13.2513
_cell_angle_alpha 90.00
_cell_angle_beta 90.00
_cell_angle_gamma 90.00
_space_group_name_H-M_alt 'I -4 2 m'
_space_group_IT_number 121
_space_group_name_Hall 'I -4 2'
loop_
_atom_site_label
_atom_site_type_symbol
_atom_site_fract_x
_atom_site_fract_y
_atom_site_fract_z
Li1 Li 0.0000 0.0000 0.0000
Tl1 Tl 0.0000 0.0000 0.5000
In1 In 0.0000 0.5000 0.2500
S1 S 0.2156 0.2156 0.1414
```

The 10 most intense peaks (10 to 90 degrees two-theta), sorted by position:
2θ/deg, I_rel, hkl
16.71, 39, 1 0 1
25.36, 24, 1 0 3
25.58, 100, 1 1 2
30.89, 15, 2 0 0
35.32, 19, 2 1 1
41.42, 40, 2 0 4
44.25, 16, 2 2 0
46.73, 19, 1 1 6
51.81, 28, 3 1 2
66.32, 12, 3 1 6

---

[14]
For LiYIn4S8, a DFT-relaxed cell (PBE, Alexandria) gives the theoretical XRD peak list in this record (Cu Kα (weighted mean of Kα1 and Kα2)).

```
data_LiYIn4S8
_chemical_formula_sum 'Li3 Y3 In12 S24'
_cell_length_a 7.7654
_cell_length_b 7.7654
_cell_length_c 19.0929
_cell_angle_alpha 90.00
_cell_angle_beta 90.00
_cell_angle_gamma 120.00
_space_group_name_H-M_alt 'R 3 m'
_space_group_IT_number 160
_space_group_name_Hall 'R 3 -2"'
loop_
_atom_site_label
_atom_site_type_symbol
_atom_site_fract_x
_atom_site_fract_y
_atom_site_fract_z
Li1 Li 0.0000 0.0000 0.0000
Y1 Y 0.0000 0.0000 0.3679
In1 In 0.0000 0.0000 0.7526
In2 In 0.0175 0.5087 0.8784
S1 S 0.0000 0.0000 0.1326
S2 S 0.0000 0.0000 0.6167
S3 S 0.0203 0.5101 0.1301
S4 S 0.1698 0.3397 0.9542
```

The 10 most intense peaks (10 to 90 degrees two-theta), sorted by position:
2θ/deg, I_rel, hkl
13.94, 45, 0 0 3
16.12, 19, 0 1 2
22.86, 13, 1 0 4
26.89, 100, 0 2 1
32.57, 54, 0 2 4
42.68, 16, 0 2 7
42.75, 33, 1 2 5
46.67, 36, 2 0 8
46.79, 37, 2 2 0
86.85, 16, 6 0 0